Computed X-ray powder pattern of Li4MnCo2O7 for Cu Kα (λ = 1.5418 Å), from a crystal structure in Alexandria, relaxed with PBE+U.

Crystal structure
Lattice parameters (Å, degrees): 20.989 2.876 8.100 90.00 102.20 90.00
Space group Cm (No. 8)
One atom of each set of equivalent atoms:
Li (0.000, 0.000, 0.000)
Li (0.003, 0.000, 0.490)
Li (0.066, 0.500, 0.293)
Li (0.142, 0.000, 0.565)
Li (0.223, 0.500, 0.855)
Li (0.298, 0.000, 0.140)
Li (0.368, 0.500, 0.422)
Li (0.434, 0.000, 0.692)
Mn (0.076, 0.500, 0.778)
Mn (0.219, 0.500, 0.356)
Co (0.147, 0.000, 0.072)
Co (0.293, 0.000, 0.640)
Co (0.363, 0.500, 0.924)
Co (0.434, 0.000, 0.214)
O (0.014, 0.000, 0.759)
O (0.079, 0.500, 0.555)
O (0.085, 0.500, 0.031)
O (0.143, 0.000, 0.831)
O (0.152, 0.000, 0.314)
O (0.213, 0.500, 0.113)
O (0.228, 0.500, 0.598)
O (0.287, 0.000, 0.394)
O (0.297, 0.000, 0.880)
O (0.355, 0.500, 0.681)
O (0.368, 0.500, 0.163)
O (0.425, 0.000, 0.963)
O (0.432, 0.000, 0.444)
O (0.496, 0.500, 0.239)

Top 10 peaks for 10 to 90 degrees two-theta, by intensity:
| 2θ (°) | intensity |
| --- | --- |
| 18.52 | 100 |
| 44.12 | 52 |
| 44.76 | 25 |
| 36.62 | 24 |
| 65.14 | 14 |
| 64.18 | 13 |
| 36.92 | 12 |
| 58.02 | 10 |
| 68.08 | 9 |
| 48.59 | 8 |

Computed X-ray powder pattern of Li3Mn2Co2O8 for Cu Kα (λ = 1.5418 Å), from a crystal structure in Alexandria, relaxed with PBE+U.

Crystal structure
Lattice parameters (Å, degrees): 2.964 4.960 9.973 88.89 86.83 87.39
Space group P1 (No. 1)
One atom of each set of equivalent atoms:
Li (0.000, 0.000, 0.000)
Li (0.005, 0.655, 0.517)
Li (0.503, 0.503, 0.001)
Mn (0.145, 0.057, 0.268)
Mn (0.518, 0.168, 0.756)
Co (0.025, 0.670, 0.770)
Co (0.647, 0.557, 0.259)
O (0.014, 0.984, 0.660)
O (0.048, 0.346, 0.879)
O (0.133, 0.398, 0.358)
O (0.154, 0.727, 0.158)
O (0.504, 0.511, 0.658)
O (0.551, 0.849, 0.883)
O (0.622, 0.874, 0.365)
O (0.670, 0.224, 0.157)

Top 10 peaks for 10 to 90 degrees two-theta, by intensity:
| 2θ (°) | intensity |
| --- | --- |
| 17.82 | 100 |
| 36.33 | 10 |
| 43.07 | 10 |
| 35.31 | 10 |
| 37.56 | 8 |
| 36.08 | 8 |
| 45.63 | 8 |
| 44.67 | 6 |
| 60.18 | 6 |
| 40.40 | 6 |

Computed X-ray powder pattern of Li6Mn5CoO12 for Cu Kα (λ = 1.5418 Å), from a crystal structure in Alexandria, relaxed with PBE+U.

Crystal structure
Lattice parameters (Å, degrees): 5.059 5.059 10.161 81.80 84.67 65.36
Space group P-1 (No. 2)
One atom of each set of equivalent atoms:
Li (0.021, 0.227, 0.261)
Li (0.271, 0.148, 0.743)
Li (0.354, 0.557, 0.260)
Mn (0.168, 0.165, 0.002)
Mn (0.330, 0.830, 0.500)
Mn (0.500, 0.500, 0.000)
Co (0.000, 0.500, 0.500)
O (0.043, 0.826, 0.386)
O (0.144, 0.895, 0.887)
O (0.188, 0.441, 0.114)
O (0.288, 0.505, 0.614)
O (0.335, 0.198, 0.402)
O (0.475, 0.228, 0.888)

Top 10 peaks for 10 to 90 degrees two-theta, by intensity:
| 2θ (°) | intensity |
| --- | --- |
| 17.65 | 100 |
| 48.60 | 22 |
| 41.92 | 20 |
| 34.46 | 18 |
| 38.46 | 17 |
| 54.31 | 14 |
| 35.84 | 14 |
| 33.63 | 12 |
| 41.71 | 12 |
| 60.84 | 11 |

Computed X-ray powder pattern of Li7Mn2Co3O12 for Cu Kα (λ = 1.5418 Å), from a crystal structure in Alexandria, relaxed with PBE+U.

Crystal structure
Lattice parameters (Å, degrees): 5.183 5.727 7.698 78.66 72.44 89.84
Space group P1 (No. 1)
One atom of each set of equivalent atoms:
Li (0.000, 0.000, 0.000)
Li (0.001, 0.491, 0.003)
Li (0.358, 0.334, 0.661)
Li (0.368, 0.835, 0.656)
Li (0.521, 0.251, 0.988)
Li (0.678, 0.170, 0.307)
Li (0.693, 0.664, 0.311)
Mn (0.858, 0.585, 0.657)
Mn (0.860, 0.087, 0.655)
Co (0.194, 0.420, 0.311)
Co (0.196, 0.926, 0.305)
Co (0.526, 0.748, 0.988)
O (0.089, 0.205, 0.172)
O (0.108, 0.697, 0.158)
O (0.232, 0.627, 0.483)
O (0.243, 0.139, 0.483)
O (0.492, 0.557, 0.814)
O (0.494, 0.032, 0.814)
O (0.578, 0.941, 0.154)
O (0.581, 0.471, 0.152)
O (0.772, 0.375, 0.510)
O (0.786, 0.876, 0.502)
O (0.948, 0.297, 0.801)
O (0.956, 0.799, 0.796)

Top 10 peaks for 10 to 90 degrees two-theta, by intensity:
| 2θ (°) | intensity |
| --- | --- |
| 18.43 | 100 |
| 42.24 | 31 |
| 44.22 | 27 |
| 44.70 | 26 |
| 35.14 | 15 |
| 62.91 | 15 |
| 36.38 | 13 |
| 36.74 | 12 |
| 47.59 | 9 |
| 24.79 | 8 |

Computed X-ray powder pattern of Li4MnCo2O7 for Cu Kα (λ = 1.5418 Å), from a crystal structure in Alexandria, relaxed with PBE+U.

Crystal structure
Lattice parameters (Å, degrees): 4.994 5.136 10.196 99.41 99.31 100.46
Space group P1 (No. 1)
One atom of each set of equivalent atoms:
Li (0.000, 0.000, 0.000)
Li (0.006, 0.984, 0.490)
Li (0.153, 0.273, 0.284)
Li (0.282, 0.549, 0.551)
Li (0.437, 0.850, 0.853)
Li (0.575, 0.137, 0.140)
Li (0.724, 0.412, 0.416)
Li (0.869, 0.699, 0.699)
Mn (0.152, 0.266, 0.776)
Mn (0.582, 0.118, 0.631)
Co (0.296, 0.578, 0.069)
Co (0.443, 0.854, 0.354)
Co (0.720, 0.420, 0.920)
Co (0.874, 0.719, 0.217)
O (0.070, 0.592, 0.879)
O (0.082, 0.642, 0.373)
O (0.211, 0.918, 0.168)
O (0.243, 0.948, 0.680)
O (0.368, 0.222, 0.947)
O (0.392, 0.184, 0.468)
O (0.498, 0.527, 0.246)
O (0.506, 0.454, 0.747)
O (0.636, 0.794, 0.538)
O (0.638, 0.765, 0.031)
O (0.770, 0.045, 0.313)
O (0.806, 0.066, 0.802)
O (0.930, 0.372, 0.084)
O (0.937, 0.328, 0.614)

Top 10 peaks for 10 to 90 degrees two-theta, by intensity:
| 2θ (°) | intensity |
| --- | --- |
| 18.39 | 100 |
| 43.16 | 28 |
| 43.52 | 27 |
| 44.46 | 26 |
| 63.40 | 14 |
| 35.69 | 14 |
| 36.00 | 13 |
| 36.64 | 12 |
| 47.87 | 8 |
| 62.88 | 7 |

Computed X-ray powder pattern of Li7Mn4CoO12 for Cu Kα (λ = 1.5418 Å), from a crystal structure in Alexandria, relaxed with PBE+U.

Crystal structure
Lattice parameters (Å, degrees): 9.759 8.707 5.185 90.00 98.24 90.00
Space group C2 (No. 5)
One atom of each set of equivalent atoms:
Li (0.000, 0.000, 0.000)
Li (0.241, 0.997, 0.754)
Li (0.245, 0.836, 0.238)
Li (0.247, 0.165, 0.250)
Mn (0.000, 0.332, 0.000)
Mn (0.000, 0.500, 0.500)
Mn (0.000, 0.669, 0.000)
Mn (0.000, 0.834, 0.500)
Co (0.000, 0.158, 0.500)
O (0.108, 0.338, 0.349)
O (0.109, 0.824, 0.851)
O (0.111, 0.180, 0.856)
O (0.116, 0.667, 0.394)
O (0.117, 0.498, 0.895)
O (0.118, 0.990, 0.394)

Top 10 peaks for 10 to 90 degrees two-theta, by intensity:
| 2θ (°) | intensity |
| --- | --- |
| 18.37 | 100 |
| 43.97 | 57 |
| 42.19 | 32 |
| 62.57 | 32 |
| 36.11 | 25 |
| 34.97 | 15 |
| 13.69 | 10 |
| 47.27 | 10 |
| 58.02 | 9 |
| 21.04 | 8 |

Computed X-ray powder pattern of Li7Mn2Co3O12 for Cu Kα (λ = 1.5418 Å), from a crystal structure in Alexandria, relaxed with PBE+U.

Crystal structure
Lattice parameters (Å, degrees): 5.018 8.697 5.100 90.00 108.99 90.00
Space group P2 (No. 3)
One atom of each set of equivalent atoms:
Li (0.000, 0.000, 0.000)
Li (0.000, 0.154, 0.500)
Li (0.000, 0.514, 0.500)
Li (0.000, 0.843, 0.500)
Li (0.500, 0.339, 0.500)
Li (0.500, 0.674, 0.500)
Li (0.500, 0.991, 0.500)
Mn (0.000, 0.336, 0.000)
Mn (0.500, 0.165, 0.000)
Co (0.000, 0.682, 0.000)
Co (0.500, 0.503, 0.000)
Co (0.500, 0.834, 0.000)
O (0.243, 0.497, 0.216)
O (0.243, 0.829, 0.238)
O (0.250, 0.183, 0.221)
O (0.256, 0.336, 0.782)
O (0.267, 0.661, 0.773)
O (0.278, 0.011, 0.768)

Top 10 peaks for 10 to 90 degrees two-theta, by intensity:
| 2θ (°) | intensity |
| --- | --- |
| 18.40 | 100 |
| 43.87 | 55 |
| 36.33 | 38 |
| 43.98 | 28 |
| 64.28 | 22 |
| 63.43 | 15 |
| 10.17 | 13 |
| 47.98 | 12 |
| 81.12 | 10 |
| 57.74 | 10 |

Computed X-ray powder pattern of Li7Mn4CoO12 for Cu Kα (λ = 1.5418 Å), from a crystal structure in Alexandria, relaxed with PBE+U.

Crystal structure
Lattice parameters (Å, degrees): 5.865 2.875 12.656 90.00 102.78 90.00
Space group P2/m (No. 10)
One atom of each set of equivalent atoms:
Li (0.000, 0.000, 0.000)
Li (0.000, 0.500, 0.500)
Li (0.170, 0.000, 0.335)
Li (0.315, 0.500, 0.150)
Li (0.500, 0.000, 0.000)
Mn (0.167, 0.500, 0.839)
Mn (0.336, 0.000, 0.666)
Co (0.500, 0.500, 0.500)
O (0.057, 0.000, 0.169)
O (0.106, 0.500, 0.672)
O (0.245, 0.500, 0.986)
O (0.277, 0.000, 0.505)
O (0.394, 0.000, 0.828)
O (0.437, 0.500, 0.342)

Top 10 peaks for 10 to 90 degrees two-theta, by intensity:
| 2θ (°) | intensity |
| --- | --- |
| 18.48 | 100 |
| 44.08 | 83 |
| 36.53 | 24 |
| 64.35 | 15 |
| 63.82 | 14 |
| 58.05 | 14 |
| 36.31 | 13 |
| 15.52 | 10 |
| 63.45 | 8 |
| 64.87 | 7 |

Computed X-ray powder pattern of Li7Mn2Co3O12 for Cu Kα (λ = 1.5418 Å), from a crystal structure in Alexandria, relaxed with PBE+U.

Crystal structure
Lattice parameters (Å, degrees): 2.885 7.750 9.789 99.46 90.00 100.72
Space group P1 (No. 1)
One atom of each set of equivalent atoms:
Li (0.000, 0.000, 0.000)
Li (0.084, 0.167, 0.767)
Li (0.252, 0.504, 0.241)
Li (0.425, 0.849, 0.772)
Li (0.573, 0.144, 0.234)
Li (0.756, 0.511, 0.762)
Li (0.909, 0.819, 0.247)
Mn (0.170, 0.337, 0.505)
Mn (0.663, 0.326, 0.000)
Co (0.346, 0.693, 0.010)
Co (0.498, 0.993, 0.501)
Co (0.833, 0.663, 0.501)
O (0.050, 0.097, 0.398)
O (0.130, 0.259, 0.115)
O (0.206, 0.412, 0.892)
O (0.291, 0.578, 0.609)
O (0.368, 0.733, 0.391)
O (0.450, 0.900, 0.131)
O (0.552, 0.104, 0.885)
O (0.636, 0.267, 0.617)
O (0.711, 0.417, 0.396)
O (0.785, 0.570, 0.111)
O (0.872, 0.743, 0.884)
O (0.951, 0.899, 0.606)

Top 10 peaks for 10 to 90 degrees two-theta, by intensity:
| 2θ (°) | intensity |
| --- | --- |
| 18.39 | 100 |
| 43.98 | 55 |
| 43.43 | 27 |
| 36.37 | 25 |
| 63.28 | 21 |
| 35.89 | 14 |
| 63.76 | 14 |
| 57.87 | 10 |
| 11.79 | 8 |
| 47.92 | 8 |

Computed X-ray powder pattern of Li7Mn4CoO12 for Cu Kα (λ = 1.5418 Å), from a crystal structure in Alexandria, relaxed with PBE+U.

Crystal structure
Lattice parameters (Å, degrees): 3.015 6.453 12.102 102.60 94.65 103.08
Space group P1 (No. 1)
One atom of each set of equivalent atoms:
Li (0.000, 0.000, 0.000)
Li (0.012, 0.994, 0.491)
Li (0.315, 0.649, 0.326)
Li (0.338, 0.657, 0.581)
Li (0.410, 0.666, 0.812)
Li (0.665, 0.332, 0.161)
Li (0.716, 0.347, 0.656)
Mn (0.003, 0.001, 0.247)
Mn (0.048, 0.989, 0.732)
Mn (0.358, 0.665, 0.075)
Mn (0.723, 0.335, 0.903)
Co (0.665, 0.344, 0.418)
O (0.139, 0.327, 0.522)
O (0.181, 0.341, 0.028)
O (0.185, 0.317, 0.289)
O (0.244, 0.319, 0.782)
O (0.487, 0.021, 0.370)
O (0.520, 0.998, 0.630)
O (0.537, 0.988, 0.119)
O (0.591, 0.011, 0.847)
O (0.820, 0.627, 0.443)
O (0.824, 0.679, 0.201)
O (0.888, 0.656, 0.954)
O (0.888, 0.689, 0.702)

Top 10 peaks for 10 to 90 degrees two-theta, by intensity:
| 2θ (°) | intensity |
| --- | --- |
| 18.28 | 100 |
| 40.63 | 35 |
| 44.24 | 28 |
| 44.59 | 27 |
| 36.36 | 23 |
| 33.96 | 18 |
| 61.70 | 15 |
| 61.50 | 9 |
| 62.12 | 8 |
| 64.22 | 7 |